(1)
Structure and theoretical powder diffractogram of Nd4CBr3Cl2 (a PBE-relaxed structure; Cu Ka).

Main lines, sorted by position (2θ from 15° to 90°):
- d = 4.273 Å, rel. 20, hkl 4 0 -1
- d = 3.176 Å, rel. 24, hkl 3 1 -1
- d = 2.890 Å, rel. 80, hkl 6 0 0
- d = 2.879 Å, rel. 100, hkl 1 1 -2
- d = 2.604 Å, rel. 27, hkl 4 0 -3
- d = 2.439 Å, rel. 18, hkl 2 0 3
- d = 2.041 Å, rel. 29, hkl 7 1 -2
- d = 2.036 Å, rel. 29, hkl 5 1 2
- d = 1.972 Å, rel. 18, hkl 0 2 0
- d = 1.628 Å, rel. 21, hkl 6 2 0

Atomic structure:
Lattice parameters (Å, degrees): 17.837 3.943 8.426 90.00 103.84 90.00
Space group C2/m (No. 12)
Inequivalent atoms, fractional coordinates:
1 Nd 0.003 0.000 0.295 x4
2 Nd 0.145 0.500 0.580 x4
3 C 0.000 0.500 0.500 x2
4 Br 0.000 0.500 0.000 x2
5 Br 0.168 0.000 0.848 x4
6 Cl 0.171 0.000 0.350 x4

=====

(2)
Structure and theoretical powder diffractogram of Pr2Nd2CBrCl4 (a PBE-relaxed structure; Cu Ka).

Main lines, sorted by position (2θ from 15° to 90°):
- d = 5.278 Å, rel. 13, hkl 2 0 1
- d = 4.288 Å, rel. 16, hkl 4 0 -1
- d = 3.246 Å, rel. 17, hkl 3 1 0
- d = 3.182 Å, rel. 16, hkl 3 1 -1
- d = 2.882 Å, rel. 100, hkl 1 1 -2
- d = 2.863 Å, rel. 34, hkl 6 0 0
- d = 2.047 Å, rel. 21, hkl 7 1 -2
- d = 2.017 Å, rel. 22, hkl 5 1 2
- d = 1.970 Å, rel. 14, hkl 0 2 0
- d = 1.451 Å, rel. 13, hkl 7 1 -5

Atomic structure:
Lattice parameters (Å, degrees): 17.789 3.941 8.466 90.00 105.03 90.00
Space group C2/m (No. 12)
Inequivalent atoms, fractional coordinates:
1 Pr 0.001 0.000 0.293 x4
2 Nd 0.146 0.500 0.586 x4
3 C 0.000 0.500 0.500 x2
4 Br 0.000 0.500 0.000 x2
5 Cl 0.165 0.000 0.831 x4
6 Cl 0.171 0.000 0.357 x4

=====

(3)
Structure and theoretical powder diffractogram of Nd2Sc2CBr4Cl (a PBE-relaxed structure; Cu Ka).

Main lines, sorted by position (2θ from 15° to 90°):
- d = 3.977 Å, rel. 46, hkl 0 0 2
- d = 3.681 Å, rel. 47, hkl 1 1 0
- d = 2.963 Å, rel. 53, hkl 6 0 0
- d = 2.766 Å, rel. 100, hkl 1 1 -2
- d = 2.687 Å, rel. 17, hkl 4 0 2
- d = 2.675 Å, rel. 18, hkl 6 0 -2
- d = 2.584 Å, rel. 41, hkl 5 1 0
- d = 2.025 Å, rel. 31, hkl 5 1 2
- d = 2.019 Å, rel. 31, hkl 7 1 -2
- d = 1.881 Å, rel. 17, hkl 0 2 0

Atomic structure:
Lattice parameters (Å, degrees): 18.223 3.762 8.161 90.00 102.68 90.00
Space group C2/m (No. 12)
Inequivalent atoms, fractional coordinates:
1 Nd 0.000 0.000 0.215 x4
2 Sc 0.127 0.500 0.064 x4
3 C 0.000 0.500 0.000 x2
4 Br 0.167 0.000 0.313 x4
5 Br 0.169 0.000 0.853 x4
6 Cl 0.000 0.500 0.500 x2

=====

(4)
Structure and theoretical powder diffractogram of Nd2Sc2CBr2Cl3 (a PBE-relaxed structure; Cu Ka).

Main lines, sorted by position (2θ from 15° to 90°):
- d = 4.249 Å, rel. 31, hkl 4 0 0
- d = 3.306 Å, rel. 43, hkl 1 1 -1
- d = 3.000 Å, rel. 17, hkl 3 1 -1
- d = 2.833 Å, rel. 49, hkl 6 0 0
- d = 2.719 Å, rel. 29, hkl 3 1 1
- d = 2.659 Å, rel. 100, hkl 1 1 -2
- d = 2.513 Å, rel. 29, hkl 5 1 -1
- d = 1.964 Å, rel. 22, hkl 7 1 -2
- d = 1.914 Å, rel. 31, hkl 5 1 2
- d = 1.837 Å, rel. 18, hkl 0 2 0

Atomic structure:
Lattice parameters (Å, degrees): 17.579 3.675 7.707 90.00 104.79 90.00
Space group C2/m (No. 12)
Inequivalent atoms, fractional coordinates:
1 Nd 0.146 0.000 0.090 x4
2 Sc 0.000 0.500 0.199 x4
3 C 0.000 0.000 0.000 x2
4 Br 0.162 0.500 0.803 x4
5 Cl 0.000 0.000 0.500 x2
6 Cl 0.150 0.500 0.363 x4

=====

(5)
Structure and theoretical powder diffractogram of Nd2Sc2CBr4Cl (a PBE-relaxed structure; Cu Ka).

Main lines, sorted by position (2θ from 15° to 90°):
- d = 4.286 Å, rel. 37, hkl 4 0 0
- d = 3.354 Å, rel. 28, hkl 1 1 -1
- d = 3.037 Å, rel. 23, hkl 3 1 -1
- d = 2.858 Å, rel. 49, hkl 6 0 0
- d = 2.759 Å, rel. 33, hkl 3 1 1
- d = 2.705 Å, rel. 100, hkl 1 1 -2
- d = 2.285 Å, rel. 18, hkl 2 0 3
- d = 1.984 Å, rel. 23, hkl 7 1 -2
- d = 1.945 Å, rel. 31, hkl 5 1 2
- d = 1.862 Å, rel. 19, hkl 0 2 0

Atomic structure:
Lattice parameters (Å, degrees): 17.709 3.724 7.872 90.00 104.49 90.00
Space group C2/m (No. 12)
Inequivalent atoms, fractional coordinates:
1 Nd 0.144 0.000 0.083 x4
2 Sc 0.000 0.500 0.195 x4
3 C 0.000 0.000 0.000 x2
4 Br 0.156 0.500 0.371 x4
5 Br 0.161 0.500 0.805 x4
6 Cl 0.000 0.000 0.500 x2

=====

(6)
Structure and theoretical powder diffractogram of Nd2Sm2C2Br3Cl2 (a PBE-relaxed structure; Cu Ka).

Main lines, sorted by position (2θ from 15° to 90°):
- d = 3.208 Å, rel. 18, hkl 3 1 -1
- d = 3.100 Å, rel. 65, hkl 6 0 0
- d = 2.910 Å, rel. 17, hkl 3 1 1
- d = 2.824 Å, rel. 100, hkl 1 1 -2
- d = 2.708 Å, rel. 17, hkl 5 1 -1
- d = 2.326 Å, rel. 16, hkl 6 0 -3
- d = 2.121 Å, rel. 34, hkl 7 1 -2
- d = 2.056 Å, rel. 38, hkl 5 1 2
- d = 1.951 Å, rel. 19, hkl 0 2 0
- d = 1.652 Å, rel. 20, hkl 6 2 0

Atomic structure:
Lattice parameters (Å, degrees): 19.247 3.903 8.194 90.00 104.89 90.00
Space group C2/m (No. 12)
Inequivalent atoms, fractional coordinates:
1 Nd 0.001 0.000 0.204 x4
2 Sm 0.157 0.500 0.105 x4
3 C 0.038 0.500 0.024 x4
4 Br 0.000 0.500 0.500 x2
5 Br 0.169 0.000 0.838 x4
6 Cl 0.159 0.000 0.349 x4

=====

(7)
Structure and theoretical powder diffractogram of Nd2Sm2CBr3Cl2 (a PBE-relaxed structure; Cu Ka).

Main lines, sorted by position (2θ from 15° to 90°):
- d = 3.169 Å, rel. 15, hkl 3 1 -1
- d = 2.925 Å, rel. 48, hkl 6 0 0
- d = 2.867 Å, rel. 20, hkl 3 1 1
- d = 2.836 Å, rel. 100, hkl 1 1 -2
- d = 2.634 Å, rel. 26, hkl 5 1 -1
- d = 2.609 Å, rel. 15, hkl 5 1 0
- d = 2.058 Å, rel. 27, hkl 7 1 -2
- d = 2.015 Å, rel. 32, hkl 5 1 2
- d = 1.950 Å, rel. 19, hkl 0 2 0
- d = 1.623 Å, rel. 16, hkl 6 2 0

Atomic structure:
Lattice parameters (Å, degrees): 18.164 3.901 8.262 90.00 104.91 90.00
Space group C2/m (No. 12)
Inequivalent atoms, fractional coordinates:
1 Nd 0.143 0.000 0.085 x4
2 Sm 0.001 0.500 0.206 x4
3 C 0.000 0.000 0.000 x2
4 Br 0.000 0.000 0.500 x2
5 Br 0.168 0.500 0.827 x4
6 Cl 0.160 0.500 0.340 x4

=====

(8)
Structure and theoretical powder diffractogram of Nd2Sm2CBr3Cl2 (a PBE-relaxed structure; Cu Ka).

Main lines, sorted by position (2θ from 15° to 90°):
- d = 4.239 Å, rel. 18, hkl 4 0 -1
- d = 3.143 Å, rel. 26, hkl 3 1 -1
- d = 2.869 Å, rel. 83, hkl 6 0 0
- d = 2.842 Å, rel. 100, hkl 1 1 -2
- d = 2.571 Å, rel. 15, hkl 4 0 -3
- d = 2.410 Å, rel. 19, hkl 2 0 3
- d = 2.020 Å, rel. 60, hkl 5 1 2
- d = 1.949 Å, rel. 18, hkl 0 2 0
- d = 1.612 Å, rel. 27, hkl 6 2 0
- d = 1.515 Å, rel. 15, hkl 2 2 3

Atomic structure:
Lattice parameters (Å, degrees): 17.727 3.899 8.305 90.00 103.71 90.00
Space group C2/m (No. 12)
Inequivalent atoms, fractional coordinates:
1 Nd 0.146 0.000 0.079 x4
2 Sm 0.002 0.500 0.796 x4
3 C 0.000 0.000 0.000 x2
4 Br 0.000 0.000 0.500 x2
5 Br 0.166 0.500 0.352 x4
6 Cl 0.169 0.500 0.841 x4